Entry 1:
Pr3ReO8: computed XRD peak list (Cu Kα), based on a DFT-relaxed cell (GGA-PBE, OQMD).
Lines closer than 0.1° are merged.

Cell and atoms:
Unit cell a=7.4506 b=6.1780 c=14.9229 alpha=90.00 beta=110.30 gamma=90.00
Atoms (fractional coordinates):
1 Pr 0.0989 0.2418 0.2003
2 Pr 0.0989 0.2582 0.7003
3 Pr 0.1625 0.2043 0.4470
4 Pr 0.1625 0.2957 0.9470
5 Pr 0.3970 0.6880 0.3342
6 Pr 0.3970 0.8120 0.8342
7 Pr 0.6030 0.1880 0.1658
8 Pr 0.6030 0.3120 0.6658
9 Pr 0.8375 0.7043 0.0530
10 Pr 0.8375 0.7957 0.5530
11 Pr 0.9011 0.7418 0.2997
12 Pr 0.9011 0.7582 0.7997
13 Re 0.3197 0.7456 0.0910
14 Re 0.3197 0.7544 0.5910
15 Re 0.6803 0.2456 0.4090
16 Re 0.6803 0.2544 0.9090
17 O 0.0949 0.6990 0.9824
18 O 0.0949 0.8010 0.4824
19 O 0.1441 0.0266 0.8396
20 O 0.1441 0.4734 0.3396
21 O 0.1687 0.6584 0.1688
22 O 0.1687 0.8416 0.6688
23 O 0.1855 0.5266 0.8266
24 O 0.1855 0.9734 0.3266
25 O 0.2509 0.0415 0.0952
26 O 0.2509 0.4585 0.5952
27 O 0.3731 0.0492 0.5914
28 O 0.3731 0.4508 0.0914
29 O 0.4720 0.2042 0.7912
30 O 0.4720 0.2958 0.2912
31 O 0.4749 0.7005 0.5211
32 O 0.4749 0.7995 0.0211
33 O 0.5251 0.2005 0.9789
34 O 0.5251 0.2995 0.4789
35 O 0.5280 0.7042 0.7088
36 O 0.5280 0.7958 0.2088
37 O 0.6269 0.5492 0.9086
38 O 0.6269 0.9508 0.4086
39 O 0.7491 0.5415 0.4048
40 O 0.7491 0.9585 0.9048
41 O 0.8145 0.0266 0.6734
42 O 0.8145 0.4734 0.1734
43 O 0.8313 0.1584 0.3312
44 O 0.8313 0.3416 0.8312
45 O 0.8559 0.5266 0.6604
46 O 0.8559 0.9734 0.1604
47 O 0.9051 0.1990 0.5176
48 O 0.9051 0.3010 0.0176

Main lines, in order of rising 2θ (5° ≤ 2θ ≤ 70°):
2theta, Rel. int.
28.2, 21.7
28.9, 31.0
29.2, 15.5
29.4, 100.0
41.5, 11.6
42.4, 13.6
51.5, 17.8
55.7, 12.3

Entry 2:
Ta4Sb5As5: computed XRD peak list (Cu Kα), based on a DFT-relaxed cell (GGA-PBE, OQMD).
Lines closer than 0.1° are merged.

Cell and atoms:
Unit cell a=7.6633 b=7.6633 c=7.6633 alpha=100.88 beta=100.88 gamma=128.50
Atoms (fractional coordinates):
1 Ta 0.0672 0.2050 0.7159
2 Ta 0.4891 0.3513 0.2841
3 Ta 0.6487 0.9328 0.1378
4 Ta 0.7950 0.5109 0.8622
5 Sb 0.3151 0.0266 0.7059
6 Sb 0.3207 0.6092 0.2941
7 Sb 0.3908 0.6849 0.7115
8 Sb 0.7500 0.2500 0.5000
9 Sb 0.9734 0.6793 0.2885
10 As 0.0832 0.1175 0.3585
11 As 0.2753 0.9168 0.0344
12 As 0.5000 0.5000 0.0000
13 As 0.7591 0.7247 0.6415
14 As 0.8825 0.2409 0.9656

Main lines, in order of rising 2θ (5° ≤ 2θ ≤ 70°):
2theta, Rel. int.
24.4, 53.6
26.8, 52.7
30.6, 69.7
35.8, 100.0
37.5, 56.0
39.8, 67.1
45.9, 65.7
48.6, 89.5

Entry 3:
KReCl6: computed XRD peak list (Cu Kα), based on a DFT-relaxed cell (GGA-PBE, OQMD).
Lines closer than 0.1° are merged.

Cell and atoms:
Unit cell a=6.6252 b=6.6252 c=11.9718 alpha=100.29 beta=100.29 gamma=56.31
Atoms (fractional coordinates):
1 K 0.1162 0.8838 0.7500
2 K 0.8838 0.1162 0.2500
3 Re 0.0000 0.5000 0.0000
4 Re 0.5000 0.0000 0.5000
5 Cl 0.0972 0.2048 0.5401
6 Cl 0.2048 0.0972 0.0401
7 Cl 0.2047 0.3701 0.8371
8 Cl 0.3089 0.5389 0.1063
9 Cl 0.3701 0.2047 0.3371
10 Cl 0.4611 0.6911 0.3937
11 Cl 0.5389 0.3089 0.6063
12 Cl 0.6299 0.7953 0.6629
13 Cl 0.6911 0.4611 0.8937
14 Cl 0.7953 0.6299 0.1629
15 Cl 0.7952 0.9028 0.9599
16 Cl 0.9028 0.7952 0.4599

Main lines, in order of rising 2θ (5° ≤ 2θ ≤ 70°):
2theta, Rel. int.
15.1, 62.6
15.5, 58.6
17.2, 100.0
18.5, 91.5
19.4, 39.4
26.7, 36.2
27.1, 26.8
43.4, 28.3